Record 1
# Tb5Nd3
Simulated X-ray powder pattern, CuKα. Input: the GGA-PBE geometry in Alexandria.
Neutral-atom scattering factors, no anomalous dispersion.

Main lines, sorted by position (15 to 90 degrees two-theta):
2theta  I (rel.)
30.35  100
35.18  51
50.61  36
60.16  43
63.13  12
74.38  6
82.40  18
85.03  16

Crystal structure
```
data_Tb5Nd3
_cell_length_a 3.608
_cell_length_b 3.608
_cell_length_c 20.402
_cell_angle_alpha 90.00
_cell_angle_beta 90.00
_cell_angle_gamma 90.00
_space_group_name_H-M_alt 'P 1'
_space_group_IT_number 1
loop_
_space_group_symop_operation_xyz
'x,y,z'
loop_
_atom_site_label
_atom_site_type_symbol
_atom_site_fract_x
_atom_site_fract_y
_atom_site_fract_z
Tb1 Tb 0.000 0.000 0.000
Tb2 Tb 0.000 0.000 0.252
Tb3 Tb 0.000 0.000 0.748
Tb4 Tb 0.500 0.500 0.374
Tb5 Tb 0.500 0.500 0.626
Nd1 Nd 0.000 0.000 0.500
Nd2 Nd 0.500 0.500 0.126
Nd3 Nd 0.500 0.500 0.874
```

Record 2
# Tb2Ga5Co2Ir
Simulated X-ray powder pattern, CuKα. Input: the GGA-PBE geometry in Alexandria.
Neutral-atom scattering factors, no anomalous dispersion.

Main lines, sorted by position (15 to 90 degrees two-theta):
2theta  I (rel.)
22.28  13
31.00  13
31.36  25
35.80  45
38.51  100
40.78  39
42.29  27
45.46  29
62.70  22
79.32  12

Crystal structure
```
data_Tb2Ga5Co2Ir
_cell_length_a 9.123
_cell_length_b 9.123
_cell_length_c 3.990
_cell_angle_alpha 90.00
_cell_angle_beta 90.00
_cell_angle_gamma 90.00
_space_group_name_H-M_alt 'P 1'
_space_group_IT_number 1
loop_
_space_group_symop_operation_xyz
'x,y,z'
loop_
_atom_site_label
_atom_site_type_symbol
_atom_site_fract_x
_atom_site_fract_y
_atom_site_fract_z
Tb1 Tb 0.183 0.317 0.000
Tb2 Tb 0.317 0.817 0.000
Tb3 Tb 0.683 0.183 0.000
Tb4 Tb 0.817 0.683 0.000
Ga1 Ga 0.000 0.500 0.500
Ga2 Ga 0.057 0.797 0.500
Ga3 Ga 0.203 0.057 0.500
Ga4 Ga 0.297 0.557 0.500
Ga5 Ga 0.443 0.297 0.500
Ga6 Ga 0.500 0.000 0.500
Ga7 Ga 0.557 0.703 0.500
Ga8 Ga 0.703 0.443 0.500
Ga9 Ga 0.797 0.943 0.500
Ga10 Ga 0.943 0.203 0.500
Co1 Co 0.111 0.611 0.000
Co2 Co 0.389 0.111 0.000
Co3 Co 0.611 0.889 0.000
Co4 Co 0.889 0.389 0.000
Ir1 Ir 0.000 0.000 0.000
Ir2 Ir 0.500 0.500 0.000
```

Record 3
# SrAc2Pd6Pb3
Simulated X-ray powder pattern, CuKα. Input: the GGA-PBE geometry in Alexandria.
Neutral-atom scattering factors, no anomalous dispersion.

Main lines, sorted by position (15 to 90 degrees two-theta):
2theta  I (rel.)
26.35  91
29.04  69
31.13  40
33.57  38
34.60  81
36.74  59
40.51  62
41.54  100
49.86  34
55.13  44

Crystal structure
```
data_SrAc2Pd6Pb3
_cell_length_a 4.348
_cell_length_b 4.348
_cell_length_c 16.146
_cell_angle_alpha 90.00
_cell_angle_beta 90.00
_cell_angle_gamma 90.00
_space_group_name_H-M_alt 'P 1'
_space_group_IT_number 1
loop_
_space_group_symop_operation_xyz
'x,y,z'
loop_
_atom_site_label
_atom_site_type_symbol
_atom_site_fract_x
_atom_site_fract_y
_atom_site_fract_z
Sr1 Sr 0.000 0.000 0.000
Ac1 Ac 0.000 0.000 0.355
Ac2 Ac 0.000 0.000 0.645
Pd1 Pd 0.000 0.500 0.214
Pd2 Pd 0.000 0.500 0.786
Pd3 Pd 0.500 0.000 0.214
Pd4 Pd 0.500 0.000 0.786
Pd5 Pd 0.500 0.500 0.329
Pd6 Pd 0.500 0.500 0.671
Pb1 Pb 0.500 0.500 0.109
Pb2 Pb 0.500 0.500 0.500
Pb3 Pb 0.500 0.500 0.891
```

Record 4
# Ru2C
Simulated X-ray powder pattern, CuKα. Input: the GGA-PBE geometry in Alexandria.
Neutral-atom scattering factors, no anomalous dispersion.

Main lines, sorted by position (15 to 90 degrees two-theta):
2theta  I (rel.)
36.23  28
36.40  19
40.84  100
52.30  19
65.50  17
68.30  21
77.22  17
80.14  13
88.21  4
88.50  4

Crystal structure
```
data_Ru2C
_cell_length_a 4.936
_cell_length_b 4.936
_cell_length_c 4.958
_cell_angle_alpha 90.00
_cell_angle_beta 90.00
_cell_angle_gamma 120.00
_space_group_name_H-M_alt 'P 1'
_space_group_IT_number 1
loop_
_space_group_symop_operation_xyz
'x,y,z'
loop_
_atom_site_label
_atom_site_type_symbol
_atom_site_fract_x
_atom_site_fract_y
_atom_site_fract_z
Ru1 Ru 0.000 0.346 0.240
Ru2 Ru 0.000 0.654 0.760
Ru3 Ru 0.346 0.000 0.240
Ru4 Ru 0.346 0.346 0.760
Ru5 Ru 0.654 0.000 0.760
Ru6 Ru 0.654 0.654 0.240
C1 C 0.000 0.000 0.000
C2 C 0.333 0.667 0.500
C3 C 0.667 0.333 0.500
```

Record 5
# PmGa4Ni8
Simulated X-ray powder pattern, CuKα. Input: the GGA-PBE geometry in Alexandria.
Neutral-atom scattering factors, no anomalous dispersion.

Main lines, sorted by position (15 to 90 degrees two-theta):
2theta  I (rel.)
29.85  32
37.03  48
41.81  95
43.17  100
43.62  71
47.44  48
49.09  19
69.02  23
78.86  24
79.80  23

Crystal structure
```
data_PmGa4Ni8
_cell_length_a 6.391
_cell_length_b 6.391
_cell_length_c 6.391
_cell_angle_alpha 99.02
_cell_angle_beta 99.02
_cell_angle_gamma 133.35
_space_group_name_H-M_alt 'P 1'
_space_group_IT_number 1
loop_
_space_group_symop_operation_xyz
'x,y,z'
loop_
_atom_site_label
_atom_site_type_symbol
_atom_site_fract_x
_atom_site_fract_y
_atom_site_fract_z
Pm1 Pm 0.000 0.000 0.000
Ga1 Ga 0.000 0.000 0.500
Ga2 Ga 0.000 0.500 0.000
Ga3 Ga 0.500 0.000 0.000
Ga4 Ga 0.500 0.500 0.500
Ni1 Ni 0.000 0.353 0.353
Ni2 Ni 0.000 0.647 0.647
Ni3 Ni 0.272 0.500 0.772
Ni4 Ni 0.353 0.000 0.353
Ni5 Ni 0.500 0.272 0.772
Ni6 Ni 0.500 0.728 0.228
Ni7 Ni 0.647 0.000 0.647
Ni8 Ni 0.728 0.500 0.228
```

Record 6
# CaBPt3
Simulated X-ray powder pattern, CuKα. Input: the GGA-PBE geometry in Alexandria.
Neutral-atom scattering factors, no anomalous dispersion.

Main lines, sorted by position (15 to 90 degrees two-theta):
2theta  I (rel.)
17.85  7
23.79  23
31.48  40
36.16  20
39.59  100
48.68  19
61.56  28
65.03  16
74.04  21
78.89  14

Crystal structure
```
data_CaBPt3
_cell_length_a 5.737
_cell_length_b 5.737
_cell_length_c 5.684
_cell_angle_alpha 90.00
_cell_angle_beta 90.00
_cell_angle_gamma 120.00
_space_group_name_H-M_alt 'P 1'
_space_group_IT_number 1
loop_
_space_group_symop_operation_xyz
'x,y,z'
loop_
_atom_site_label
_atom_site_type_symbol
_atom_site_fract_x
_atom_site_fract_y
_atom_site_fract_z
Ca1 Ca 0.333 0.667 0.250
Ca2 Ca 0.667 0.333 0.750
B1 B 0.000 0.000 0.000
B2 B 0.000 0.000 0.500
Pt1 Pt 0.169 0.338 0.750
Pt2 Pt 0.169 0.831 0.750
Pt3 Pt 0.338 0.169 0.250
Pt4 Pt 0.662 0.831 0.750
Pt5 Pt 0.831 0.169 0.250
Pt6 Pt 0.831 0.662 0.250
```

Record 7
# AsCl3
Simulated X-ray powder pattern, CuKα. Input: the GGA-PBE geometry in Alexandria.
Neutral-atom scattering factors, no anomalous dispersion.

Main lines, sorted by position (15 to 90 degrees two-theta):
2theta  I (rel.)
16.81  51
18.26  38
20.65  62
22.05  33
22.32  100
26.75  51
29.52  41
42.06  36
49.70  30
52.54  39

Crystal structure
```
data_AsCl3
_cell_length_a 4.580
_cell_length_b 10.548
_cell_length_c 12.509
_cell_angle_alpha 90.00
_cell_angle_beta 90.00
_cell_angle_gamma 90.00
_space_group_name_H-M_alt 'P 1'
_space_group_IT_number 1
loop_
_space_group_symop_operation_xyz
'x,y,z'
loop_
_atom_site_label
_atom_site_type_symbol
_atom_site_fract_x
_atom_site_fract_y
_atom_site_fract_z
As1 As 0.028 0.199 0.287
As2 As 0.472 0.801 0.787
As3 As 0.528 0.301 0.713
As4 As 0.972 0.699 0.213
Cl1 Cl 0.231 0.798 0.634
Cl2 Cl 0.236 0.647 0.871
Cl3 Cl 0.246 0.036 0.363
Cl4 Cl 0.254 0.964 0.863
Cl5 Cl 0.264 0.353 0.371
Cl6 Cl 0.269 0.202 0.134
Cl7 Cl 0.731 0.702 0.366
Cl8 Cl 0.736 0.853 0.129
Cl9 Cl 0.746 0.464 0.637
Cl10 Cl 0.754 0.536 0.137
Cl11 Cl 0.764 0.147 0.629
Cl12 Cl 0.769 0.298 0.866
```

Record 8
# KBi3Rh
Simulated X-ray powder pattern, CuKα. Input: the GGA-PBE geometry in Alexandria.
Neutral-atom scattering factors, no anomalous dispersion.

Main lines, sorted by position (15 to 90 degrees two-theta):
2theta  I (rel.)
28.36  96
28.50  100
29.37  69
29.55  53
36.15  39
36.32  37
40.59  60
40.95  44
41.46  43
41.79  37

Crystal structure
```
data_KBi3Rh
_cell_length_a 8.897
_cell_length_b 4.445
_cell_length_c 8.997
_cell_angle_alpha 90.00
_cell_angle_beta 112.09
_cell_angle_gamma 90.00
_space_group_name_H-M_alt 'P 1'
_space_group_IT_number 1
loop_
_space_group_symop_operation_xyz
'x,y,z'
loop_
_atom_site_label
_atom_site_type_symbol
_atom_site_fract_x
_atom_site_fract_y
_atom_site_fract_z
K1 K 0.225 0.250 0.406
K2 K 0.775 0.750 0.594
Bi1 Bi 0.055 0.250 0.904
Bi2 Bi 0.289 0.750 0.766
Bi3 Bi 0.399 0.750 0.178
Bi4 Bi 0.601 0.250 0.822
Bi5 Bi 0.711 0.250 0.234
Bi6 Bi 0.945 0.750 0.096
Rh1 Rh 0.389 0.250 0.980
Rh2 Rh 0.611 0.750 0.020
```

Record 9
# Hf6Bi3Se
Simulated X-ray powder pattern, CuKα. Input: the GGA-PBE geometry in Alexandria.
Neutral-atom scattering factors, no anomalous dispersion.

Main lines, sorted by position (15 to 90 degrees two-theta):
2theta  I (rel.)
24.84  17
27.67  21
32.30  8
34.15  100
34.73  19
38.03  17
38.14  8
43.27  9
47.68  10
50.43  9

Crystal structure
```
data_Hf6Bi3Se
_cell_length_a 8.937
_cell_length_b 8.937
_cell_length_c 6.448
_cell_angle_alpha 90.00
_cell_angle_beta 90.00
_cell_angle_gamma 105.19
_space_group_name_H-M_alt 'P 1'
_space_group_IT_number 1
loop_
_space_group_symop_operation_xyz
'x,y,z'
loop_
_atom_site_label
_atom_site_type_symbol
_atom_site_fract_x
_atom_site_fract_y
_atom_site_fract_z
Hf1 Hf 0.030 0.970 0.500
Hf2 Hf 0.063 0.588 0.566
Hf3 Hf 0.244 0.756 0.138
Hf4 Hf 0.279 0.429 0.093
Hf5 Hf 0.412 0.937 0.566
Hf6 Hf 0.429 0.279 0.593
Hf7 Hf 0.571 0.721 0.093
Hf8 Hf 0.588 0.063 0.066
Hf9 Hf 0.721 0.571 0.593
Hf10 Hf 0.756 0.244 0.638
Hf11 Hf 0.937 0.412 0.066
Hf12 Hf 0.970 0.030 0.000
Bi1 Bi 0.107 0.287 0.713
Bi2 Bi 0.287 0.107 0.213
Bi3 Bi 0.398 0.602 0.487
Bi4 Bi 0.602 0.398 0.987
Bi5 Bi 0.713 0.893 0.713
Bi6 Bi 0.893 0.713 0.213
Se1 Se 0.149 0.851 0.794
Se2 Se 0.851 0.149 0.294
```

Record 10
# AcTh2WN5
Simulated X-ray powder pattern, CuKα. Input: the GGA-PBE geometry in Alexandria.
Neutral-atom scattering factors, no anomalous dispersion.

Main lines, sorted by position (15 to 90 degrees two-theta):
2theta  I (rel.)
28.71  21
29.75  100
29.99  39
32.48  42
36.56  22
42.00  26
47.98  21
53.10  21
55.03  13
68.02  12

Crystal structure
```
data_AcTh2WN5
_cell_length_a 6.952
_cell_length_b 6.952
_cell_length_c 5.959
_cell_angle_alpha 90.00
_cell_angle_beta 90.00
_cell_angle_gamma 90.00
_space_group_name_H-M_alt 'P 1'
_space_group_IT_number 1
loop_
_space_group_symop_operation_xyz
'x,y,z'
loop_
_atom_site_label
_atom_site_type_symbol
_atom_site_fract_x
_atom_site_fract_y
_atom_site_fract_z
Ac1 Ac 0.000 0.000 0.000
Ac2 Ac 0.500 0.500 0.000
Th1 Th 0.173 0.327 0.500
Th2 Th 0.327 0.827 0.500
Th3 Th 0.673 0.173 0.500
Th4 Th 0.827 0.673 0.500
W1 W 0.000 0.500 0.000
W2 W 0.500 0.000 0.000
N1 N 0.000 0.000 0.500
N2 N 0.140 0.640 0.237
N3 N 0.140 0.640 0.763
N4 N 0.360 0.140 0.237
N5 N 0.360 0.140 0.763
N6 N 0.500 0.500 0.500
N7 N 0.640 0.860 0.237
N8 N 0.640 0.860 0.763
N9 N 0.860 0.360 0.237
N10 N 0.860 0.360 0.763
```

Record 11
# LiTlSi3
Simulated X-ray powder pattern, CuKα. Input: the GGA-PBE geometry in Alexandria.
Neutral-atom scattering factors, no anomalous dispersion.

Main lines, sorted by position (15 to 90 degrees two-theta):
2theta  I (rel.)
19.19  99
27.26  99
33.55  100
38.94  53
43.76  51
48.18  44
56.24  37
59.99  26
67.11  40
77.15  22

Crystal structure
```
data_LiTlSi3
_cell_length_a 4.626
_cell_length_b 4.626
_cell_length_c 4.626
_cell_angle_alpha 90.00
_cell_angle_beta 90.00
_cell_angle_gamma 90.00
_space_group_name_H-M_alt 'P 1'
_space_group_IT_number 1
loop_
_space_group_symop_operation_xyz
'x,y,z'
loop_
_atom_site_label
_atom_site_type_symbol
_atom_site_fract_x
_atom_site_fract_y
_atom_site_fract_z
Li1 Li 0.000 0.000 0.000
Tl1 Tl 0.500 0.500 0.500
Si1 Si 0.000 0.000 0.500
Si2 Si 0.000 0.500 0.000
Si3 Si 0.500 0.000 0.000
```

Record 12
# NdGa9Pt2
Simulated X-ray powder pattern, CuKα. Input: the GGA-PBE geometry in Alexandria.
Neutral-atom scattering factors, no anomalous dispersion.

Main lines, sorted by position (15 to 90 degrees two-theta):
2theta  I (rel.)
21.08  56
30.34  61
32.50  79
33.00  55
35.22  93
37.68  100
38.24  82
40.88  46
42.92  90
46.76  45

Crystal structure
```
data_NdGa9Pt2
_cell_length_a 8.860
_cell_length_b 8.860
_cell_length_c 8.860
_cell_angle_alpha 108.96
_cell_angle_beta 87.70
_cell_angle_gamma 135.67
_space_group_name_H-M_alt 'P 1'
_space_group_IT_number 1
loop_
_space_group_symop_operation_xyz
'x,y,z'
loop_
_atom_site_label
_atom_site_type_symbol
_atom_site_fract_x
_atom_site_fract_y
_atom_site_fract_z
Nd1 Nd 0.346 0.096 0.250
Nd2 Nd 0.654 0.904 0.750
Ga1 Ga 0.110 0.044 0.815
Ga2 Ga 0.110 0.295 0.065
Ga3 Ga 0.132 0.382 0.750
Ga4 Ga 0.214 0.394 0.445
Ga5 Ga 0.214 0.769 0.820
Ga6 Ga 0.270 0.705 0.315
Ga7 Ga 0.270 0.956 0.565
Ga8 Ga 0.449 0.394 0.680
Ga9 Ga 0.449 0.769 0.055
Ga10 Ga 0.551 0.231 0.945
Ga11 Ga 0.551 0.606 0.320
Ga12 Ga 0.730 0.044 0.435
Ga13 Ga 0.730 0.295 0.685
Ga14 Ga 0.786 0.231 0.180
Ga15 Ga 0.786 0.606 0.555
Ga16 Ga 0.868 0.618 0.250
Ga17 Ga 0.890 0.705 0.935
Ga18 Ga 0.890 0.956 0.185
Pt1 Pt 0.000 0.000 0.500
Pt2 Pt 0.000 0.500 0.000
Pt3 Pt 0.000 0.500 0.500
Pt4 Pt 0.500 0.500 0.000
```

Record 13
# La2TbTm7
Simulated X-ray powder pattern, CuKα. Input: the GGA-PBE geometry in Alexandria.
Neutral-atom scattering factors, no anomalous dispersion.

Main lines, sorted by position (15 to 90 degrees two-theta):
2theta  I (rel.)
30.85  100
35.62  34
36.09  17
51.26  12
51.61  24
61.03  29
61.67  14
64.29  12
83.68  6
84.24  12

Crystal structure
```
data_La2TbTm7
_cell_length_a 6.124
_cell_length_b 7.083
_cell_length_c 7.968
_cell_angle_alpha 77.00
_cell_angle_beta 74.91
_cell_angle_gamma 73.88
_space_group_name_H-M_alt 'P 1'
_space_group_IT_number 1
loop_
_space_group_symop_operation_xyz
'x,y,z'
loop_
_atom_site_label
_atom_site_type_symbol
_atom_site_fract_x
_atom_site_fract_y
_atom_site_fract_z
La1 La 0.201 0.296 0.101
La2 La 0.799 0.704 0.899
Tb1 Tb 0.000 0.500 0.500
Tm1 Tm 0.000 0.000 0.500
Tm2 Tm 0.197 0.800 0.103
Tm3 Tm 0.399 0.101 0.695
Tm4 Tm 0.399 0.601 0.696
Tm5 Tm 0.601 0.399 0.304
Tm6 Tm 0.601 0.899 0.305
Tm7 Tm 0.803 0.200 0.897
```